For TcCl2, a cell relaxed with GGA-PBE gives the simulated X-ray powder pattern in this record (Cu Kα X-rays).
Neutral-atom scattering factors, no anomalous dispersion.

Top 10 peaks for 5° ≤ 2θ ≤ 70°, by intensity:
2θ/deg, intensity
13.91, 100
14.70, 64
12.37, 61
33.22, 40
41.80, 26
32.53, 25
24.88, 21
34.77, 18
44.01, 15
46.82, 12

Structure:
```
TcCl2
1.0
6.8808 -1.7463 0.0000
6.8808 1.7463 0.0000
-2.9401 0.0000 7.1573
Tc Cl
2 4
Direct
0.0181 0.0181 0.1492
0.9819 0.9819 0.8508
0.3532 0.3532 0.7361
0.4078 0.4078 0.1884
0.5922 0.5922 0.8116
0.6468 0.6468 0.2639
```